[1]
Diffraction record for Ba8PtRh3. The powder diffraction line list is calculated, not measured: it uses a DFT-relaxed cell (PBE, Alexandria) and CuKα.
Neutral-atom scattering factors, no anomalous dispersion.

Peak list (6 most intense, 10 to 90 degrees two-theta, by intensity)
- 2θ = 27.78°, rel. 100, hkl 2 2 -2
- 2θ = 12.27°, rel. 63, hkl 2 0 -1
- 2θ = 39.19°, rel. 61, hkl 2 2 2
- 2θ = 27.89°, rel. 50, hkl 4 0 0
- 2θ = 40.34°, rel. 34, hkl 6 2 -2
- 2θ = 48.74°, rel. 31, hkl 4 4 0

Structure:
Unit cell a=15.352 b=9.198 c=8.976 alpha=90.00 beta=123.55 gamma=90.00
Space group C2/m (No. 12)
Symmetry-distinct sites (fractional):
1 Ba 0.009 0.246 0.244
2 Ba 0.243 0.000 0.258
3 Ba 0.246 0.500 0.265
4 Pt 0.000 0.500 0.000
5 Rh 0.000 0.000 0.000
6 Rh 0.250 0.250 0.500

***

[2]
Diffraction record for K2SrTi10O22. The powder diffraction line list is calculated, not measured: it uses a DFT-relaxed cell (PBE, Alexandria) and CuKα.
Neutral-atom scattering factors, no anomalous dispersion.

Peak list (6 most intense, 10 to 90 degrees two-theta, by intensity)
- 2θ = 29.38°, rel. 100, hkl 3 1 0
- 2θ = 28.81°, rel. 88, hkl 2 0 -5
- 2θ = 30.08°, rel. 84, hkl 3 1 -2
- 2θ = 11.69°, rel. 84, hkl 2 0 0
- 2θ = 47.75°, rel. 80, hkl 0 2 0
- 2θ = 14.43°, rel. 69, hkl 2 0 -2

Structure:
Unit cell a=15.560 b=3.809 c=15.738 alpha=90.00 beta=103.39 gamma=90.00
Space group Cm (No. 8)
Symmetry-distinct sites (fractional):
1 K 0.000 0.000 0.000
2 K 0.067 0.000 0.690
3 Sr 0.456 0.500 0.368
4 Ti 0.111 0.500 0.288
5 Ti 0.152 0.500 0.894
6 Ti 0.175 0.500 0.499
7 Ti 0.213 0.500 0.102
8 Ti 0.254 0.500 0.701
9 Ti 0.267 0.000 0.375
10 Ti 0.309 0.000 0.970
11 Ti 0.344 0.000 0.575
12 Ti 0.374 0.000 0.173
13 Ti 0.414 0.000 0.780
14 O 0.033 0.500 0.834
15 O 0.070 0.500 0.419
16 O 0.121 0.500 0.007
17 O 0.133 0.000 0.310
18 O 0.149 0.500 0.607
19 O 0.151 0.500 0.187
20 O 0.179 0.000 0.903
21 O 0.197 0.500 0.785
22 O 0.210 0.000 0.494
23 O 0.237 0.500 0.382
24 O 0.246 0.000 0.097
25 O 0.281 0.500 0.980
26 O 0.282 0.000 0.691
27 O 0.312 0.500 0.579
28 O 0.331 0.000 0.296
29 O 0.348 0.500 0.176
30 O 0.371 0.000 0.888
31 O 0.376 0.000 0.468
32 O 0.386 0.500 0.768
33 O 0.408 0.000 0.068
34 O 0.443 0.000 0.662
35 O 0.489 0.000 0.250

***

[3]
Diffraction record for Ac3Ge2Pd3. The powder diffraction line list is calculated, not measured: it uses a DFT-relaxed cell (PBE, Alexandria) and CuKα.
Neutral-atom scattering factors, no anomalous dispersion.

Peak list (6 most intense, 10 to 90 degrees two-theta, by intensity)
- 2θ = 31.72°, rel. 100, hkl 0 0 6
- 2θ = 30.01°, rel. 50, hkl 1 1 4
- 2θ = 26.50°, rel. 47, hkl 1 1 3
- 2θ = 41.32°, rel. 46, hkl 1 3 5
- 2θ = 39.83°, rel. 38, hkl 2 0 0
- 2θ = 31.27°, rel. 34, hkl 1 3 0

Structure:
Unit cell a=4.526 b=11.071 c=16.934 alpha=90.00 beta=90.00 gamma=90.00
Space group Cmcm (No. 63)
Symmetry-distinct sites (fractional):
1 Ac 0.000 0.064 0.250
2 Ac 0.000 0.364 0.082
3 Ge 0.000 0.345 0.620
4 Pd 0.000 0.082 0.062
5 Pd 0.000 0.222 0.750